Dy2Tm6Al: theoretical powder X-ray diffraction pattern (λ = 1.5418 Å (Cu Kα)), based on a DFT-relaxed cell (GGA-PBE, Alexandria).
No peak broadening, texture or thermal motion is included.

Cell and atoms:
Lattice parameters (Å, degrees): 9.6960 10.1409 5.2972 90.00 90.00 90.00
Space group Pnnm (No. 58)
Inequivalent atoms, fractional coordinates:
Dy: 0.1927 0.2381 0.0000 (multiplicity 4)
Tm: 0.0198 0.3160 0.5000 (multiplicity 4)
Tm: 0.1351 0.8926 0.0000 (multiplicity 4)
Tm: 0.1838 0.5656 0.0000 (multiplicity 4)
Al: 0.0000 0.0000 0.5000 (multiplicity 2)

Most intense lines, 5° ≤ 2θ ≤ 70°, in order of falling intensity:
- 2θ 32.45, intensity 100
- 2θ 32.76, intensity 83
- 2θ 33.84, intensity 55
- 2θ 32.29, intensity 40
- 2θ 31.39, intensity 33
- 2θ 47.47, intensity 28
- 2θ 59.85, intensity 20
- 2θ 59.67, intensity 18
- 2θ 38.54, intensity 16
- 2θ 52.21, intensity 15

***

Cs2TmHBr6: theoretical powder X-ray diffraction pattern (λ = 1.5418 Å (Cu Kα)), based on a DFT-relaxed cell (GGA-PBE, Alexandria).
No peak broadening, texture or thermal motion is included.

Cell and atoms:
Lattice parameters (Å, degrees): 7.5368 7.7693 7.7826 110.17 108.04 108.24
Space group P-1 (No. 2)
Inequivalent atoms, fractional coordinates:
Cs: 0.0002 0.2301 0.2709 (multiplicity 2)
Tm: 0.5000 0.5000 0.0000 (multiplicity 1)
H: 0.5000 0.0000 0.5000 (multiplicity 1)
Br: 0.0707 0.3317 0.8319 (multiplicity 2)
Br: 0.3991 0.1335 0.6330 (multiplicity 2)
Br: 0.4991 0.2846 0.2129 (multiplicity 2)

Most intense lines, 5° ≤ 2θ ≤ 70°, in order of falling intensity:
- 2θ 27.99, intensity 100
- 2θ 28.82, intensity 84
- 2θ 28.22, intensity 80
- 2θ 31.42, intensity 65
- 2θ 14.29, intensity 61
- 2θ 23.83, intensity 55
- 2θ 19.77, intensity 44
- 2θ 24.41, intensity 38
- 2θ 27.68, intensity 33
- 2θ 38.18, intensity 33

***

Question: What is the formula in the second record?
Answer: Cs2TmHBr6